1.
Structure and computed X-ray powder pattern of CaB2H3 (a GGA-PBE-relaxed structure; Cu Kα).
Intensities are scaled so that the largest is 100.

Most intense lines, 2θ from 10° to 90°, by intensity:
| two_theta | I (rel.) |
| --- | --- |
| 27.2 | 100 |
| 36.8 | 82 |
| 29.5 | 79 |
| 25.1 | 75 |
| 38.9 | 65 |
| 27.5 | 56 |
| 39.3 | 52 |
| 21.6 | 40 |

Crystal structure
Unit cell a=3.548 b=3.640 c=16.449 alpha=90.00 beta=90.92 gamma=90.00
Space group P2_1/c (No. 14)
One atom of each set of equivalent atoms:
Ca  0.241  0.025  0.384
B  0.111  0.057  0.749
B  0.250  0.557  0.511
H  0.254  0.629  0.038
H  0.272  0.096  0.683
H  0.380  0.037  0.797

2.
Structure and computed X-ray powder pattern of CaB12H12 (a GGA-PBE-relaxed structure; Cu Kα).
Intensities are scaled so that the largest is 100.

Most intense lines, 2θ from 10° to 90°, by intensity:
| two_theta | I (rel.) |
| --- | --- |
| 15.9 | 100 |
| 14.3 | 85 |
| 14.1 | 45 |
| 21.4 | 19 |
| 24.7 | 15 |
| 27.9 | 15 |
| 39.5 | 12 |
| 38.9 | 11 |

Crystal structure
Unit cell a=7.116 b=12.549 c=11.144 alpha=90.00 beta=90.25 gamma=90.00
Space group C2/c (No. 15)
One atom of each set of equivalent atoms:
Ca  0.000  0.172  0.250
B  0.035  0.164  0.901
B  0.080  0.050  0.811
B  0.081  0.279  0.811
B  0.153  0.234  0.667
B  0.155  0.093  0.666
B  0.224  0.164  0.797
H  0.063  0.163  0.007
H  0.116  0.337  0.167
H  0.142  0.030  0.357
H  0.142  0.360  0.854
H  0.235  0.457  0.392
H  0.238  0.216  0.393

3.
Structure and computed X-ray powder pattern of CaB2H10N2 (a GGA-PBE-relaxed structure; Cu Kα).
Intensities are scaled so that the largest is 100.

Most intense lines, 2θ from 10° to 90°, by intensity:
| two_theta | I (rel.) |
| --- | --- |
| 26.6 | 100 |
| 14.0 | 74 |
| 22.2 | 55 |
| 33.5 | 33 |
| 24.9 | 28 |
| 35.6 | 23 |
| 38.0 | 20 |
| 39.4 | 18 |

Crystal structure
Unit cell a=9.060 b=4.473 c=6.354 alpha=90.00 beta=93.43 gamma=90.00
Space group C2 (No. 5)
One atom of each set of equivalent atoms:
Ca  0.000  0.000  0.000
B  0.167  0.533  0.210
H  0.073  0.686  0.295
H  0.138  0.001  0.582
H  0.141  0.272  0.256
H  0.145  0.558  0.015
H  0.155  0.329  0.688
N  0.171  0.107  0.720

Which formula does entry 3 have?
CaB2H10N2